# 1
# Ac3Nd3Er
Computed powder diffraction line list, Cu Kα X-rays. Input: a crystal structure in Alexandria, relaxed with GGA-PBE.

Atomic structure:
```
Ac3Nd3Er
1.0
10.887 0.000 0.000
0.000 6.037 0.000
0.000 0.000 16.694
Ac Nd Er
12 12 4
Direct
0.059 0.250 0.092
0.190 0.250 0.386
0.223 0.250 0.606
0.277 0.750 0.106
0.310 0.750 0.886
0.441 0.750 0.592
0.559 0.250 0.408
0.690 0.250 0.114
0.723 0.250 0.894
0.777 0.750 0.394
0.810 0.750 0.614
0.941 0.750 0.908
0.081 0.750 0.280
0.096 0.750 0.497
0.130 0.250 0.854
0.370 0.750 0.354
0.404 0.250 0.997
0.419 0.250 0.780
0.581 0.750 0.220
0.596 0.750 0.003
0.630 0.250 0.646
0.870 0.750 0.146
0.904 0.250 0.503
0.919 0.250 0.720
0.126 0.750 0.715
0.374 0.250 0.215
0.626 0.750 0.785
0.874 0.250 0.285
```

Principal peaks in the range 2θ from 5° to 70°, in order of rising 2θ:
d_spacing, two_theta, I_rel
3.272, 27.3, 29
3.192, 28.0, 20
3.058, 29.2, 79
3.019, 29.6, 75
2.915, 30.7, 21
2.904, 30.8, 100
2.822, 31.7, 48
1.720, 53.3, 27

---

# 2
# Ac3Nd2Er2
Computed powder diffraction line list, Cu Kα X-rays. Input: a crystal structure in Alexandria, relaxed with GGA-PBE.

Atomic structure:
```
Ac3Nd2Er2
1.0
5.646 0.000 0.000
0.000 25.170 0.000
0.000 0.000 3.737
Ac Nd Er
6 4 4
Direct
0.000 0.000 0.000
0.000 0.155 0.000
0.000 0.845 0.000
0.500 0.345 0.000
0.500 0.500 0.000
0.500 0.655 0.000
0.000 0.426 0.500
0.000 0.574 0.500
0.500 0.074 0.500
0.500 0.926 0.500
0.000 0.285 0.500
0.000 0.715 0.500
0.500 0.215 0.500
0.500 0.785 0.500
```

Principal peaks in the range 2θ from 5° to 70°, in order of rising 2θ:
d_spacing, two_theta, I_rel
3.092, 28.9, 90
3.033, 29.5, 100
2.823, 31.7, 46
2.790, 32.1, 51
1.984, 45.7, 39
1.677, 54.7, 19
1.645, 55.9, 24
1.591, 58.0, 30

---

# 3
# Ac4Nd4Er3
Computed powder diffraction line list, Cu Kα X-rays. Input: a crystal structure in Alexandria, relaxed with GGA-PBE.

Atomic structure:
```
Ac4Nd4Er3
1.0
3.689 0.000 0.000
0.000 5.855 0.000
-0.026 -2.923 19.050
Ac Nd Er
4 4 3
Direct
0.000 0.000 0.000
0.002 0.627 0.256
0.498 0.810 0.622
0.500 0.441 0.884
0.498 0.182 0.366
0.501 0.541 0.083
0.998 0.264 0.531
0.999 0.900 0.801
0.501 0.087 0.175
0.997 0.721 0.443
0.998 0.355 0.710
```

Principal peaks in the range 2θ from 5° to 70°, in order of rising 2θ:
d_spacing, two_theta, I_rel
3.031, 29.5, 97
2.981, 30.0, 100
2.924, 30.6, 78
2.914, 30.7, 26
2.066, 43.8, 40
1.700, 53.9, 20
1.687, 54.4, 21
1.568, 58.9, 31

---

# 4
# Ac2Nd7Er2
Computed powder diffraction line list, Cu Kα X-rays. Input: a crystal structure in Alexandria, relaxed with GGA-PBE.

Atomic structure:
```
Ac2Nd7Er2
1.0
4.820 -4.817 0.000
4.820 4.817 0.000
-3.202 0.000 8.987
Ac Nd Er
2 7 2
Direct
0.127 0.127 0.401
0.873 0.873 0.599
0.171 0.562 0.229
0.327 0.327 0.869
0.438 0.829 0.771
0.500 0.500 0.500
0.562 0.171 0.229
0.673 0.673 0.131
0.829 0.438 0.771
0.161 0.839 0.000
0.839 0.161 0.000
```

Principal peaks in the range 2θ from 5° to 70°, in order of rising 2θ:
d_spacing, two_theta, I_rel
4.242, 20.9, 46
3.354, 26.6, 50
3.048, 29.3, 80
3.007, 29.7, 64
2.971, 30.1, 44
2.882, 31.0, 100
2.652, 33.8, 78
2.202, 41.0, 29